Starting from a GGA-PBE-relaxed structure, the powder diffractogram of NiAs was computed for Cu Kα.
No peak broadening, texture or thermal motion is included.

Crystal structure
```
data_NiAs
_cell_length_a 3.708
_cell_length_b 7.667
_cell_length_c 4.520
_cell_angle_alpha 90.00
_cell_angle_beta 90.00
_cell_angle_gamma 90.00
_symmetry_space_group_name_H-M 'C m c m'
_symmetry_Int_Tables_number 63
_symmetry_space_group_name_Hall '-C 2c 2'
loop_
_atom_site_label
_atom_site_type_symbol
_atom_site_fract_x
_atom_site_fract_y
_atom_site_fract_z
Ni1 Ni 0.000 0.094 0.250
As1 As 0.000 0.211 0.750
```

The 10 most intense peaks (2θ = 15–90°), by angle:
d = 3.834 Å, intensity 23
d = 3.338 Å, intensity 91
d = 2.685 Å, intensity 28
d = 2.260 Å, intensity 59
d = 1.908 Å, intensity 100
d = 1.872 Å, intensity 34
d = 1.854 Å, intensity 31
d = 1.765 Å, intensity 32
d = 1.433 Å, intensity 26
d = 1.278 Å, intensity 23

***

Starting from a GGA-PBE-relaxed structure, the powder diffractogram of Ni8As3 was computed for Cu Kα.
No peak broadening, texture or thermal motion is included.

Crystal structure
```
data_Ni8As3
_cell_length_a 7.2664
_cell_length_b 7.2664
_cell_length_c 9.7645
_cell_angle_alpha 90.00
_cell_angle_beta 90.00
_cell_angle_gamma 120.00
_symmetry_space_group_name_H-M 'R -3 m'
_symmetry_Int_Tables_number 166
_symmetry_space_group_name_Hall '-R 3 2"'
loop_
_atom_site_label
_atom_site_type_symbol
_atom_site_fract_x
_atom_site_fract_y
_atom_site_fract_z
Ni1 Ni 0.0000 0.0000 0.1190
Ni2 Ni 0.0793 0.5396 0.2663
As1 As 0.0000 0.5000 0.5000
```

The 10 most intense peaks (2θ = 15–90°), by angle:
d = 2.995 Å, intensity 23
d = 2.311 Å, intensity 100
d = 2.276 Å, intensity 48
d = 1.929 Å, intensity 27
d = 1.817 Å, intensity 42
d = 1.763 Å, intensity 25
d = 1.704 Å, intensity 12
d = 1.659 Å, intensity 26
d = 1.586 Å, intensity 15
d = 1.243 Å, intensity 18

***

Starting from a GGA-PBE-relaxed structure, the powder diffractogram of Np2Ni3As4 was computed for Cu Kα.
No peak broadening, texture or thermal motion is included.

Crystal structure
```
data_Np2Ni3As4
_cell_length_a 5.394
_cell_length_b 9.769
_cell_length_c 11.755
_cell_angle_alpha 90.00
_cell_angle_beta 90.00
_cell_angle_gamma 90.00
_symmetry_space_group_name_H-M 'F m m m'
_symmetry_Int_Tables_number 69
_symmetry_space_group_name_Hall '-F 2 2'
loop_
_atom_site_label
_atom_site_type_symbol
_atom_site_fract_x
_atom_site_fract_y
_atom_site_fract_z
Np1 Np 0.000 0.000 0.136
Ni1 Ni 0.000 0.000 0.500
Ni2 Ni 0.250 0.250 0.000
As1 As 0.000 0.159 0.349
```

The 10 most intense peaks (2θ = 15–90°), by angle:
d = 4.884 Å, intensity 21
d = 3.015 Å, intensity 34
d = 2.939 Å, intensity 22
d = 2.712 Å, intensity 51
d = 2.697 Å, intensity 36
d = 2.518 Å, intensity 20
d = 2.361 Å, intensity 28
d = 2.271 Å, intensity 100
d = 1.987 Å, intensity 34
d = 1.461 Å, intensity 25